No. 1
The following is a calculated XRD peak list of Li4Mn2FeNi3P6O24. It was derived from a cell relaxed with PBE+U, using Cu Kα.

Structure:
Cell lengths 8.458, 8.557, 8.568 Å; angles 62.36, 62.68, 62.68 degrees
Space group P1 (No. 1)
Asymmetric unit:
Li 0.000 0.000 0.000 [1 per cell]
Li 0.098 0.500 0.877 [1 per cell]
Li 0.476 0.704 0.296 [1 per cell]
Li 0.895 0.079 0.499 [1 per cell]
Mn 0.259 0.855 0.644 [1 per cell]
Mn 0.734 0.357 0.146 [1 per cell]
Fe 0.896 0.502 0.302 [1 per cell]
Ni 0.102 0.703 0.500 [1 per cell]
Ni 0.392 0.000 0.794 [1 per cell]
Ni 0.604 0.207 0.000 [1 per cell]
P 0.195 0.104 0.191 [1 per cell]
P 0.300 0.603 0.100 [1 per cell]
P 0.500 0.398 0.603 [1 per cell]
P 0.698 0.904 0.401 [1 per cell]
P 0.800 0.810 0.902 [1 per cell]
P 0.999 0.305 0.701 [1 per cell]
O 0.064 0.458 0.674 [1 per cell]
O 0.137 0.536 0.147 [1 per cell]
O 0.150 0.108 0.717 [1 per cell]
O 0.180 0.947 0.389 [1 per cell]
O 0.204 0.046 0.043 [1 per cell]
O 0.278 0.663 0.255 [1 per cell]
O 0.292 0.768 0.915 [1 per cell]
O 0.345 0.597 0.580 [1 per cell]
O 0.358 0.163 0.143 [1 per cell]
O 0.437 0.244 0.634 [1 per cell]
O 0.492 0.449 0.074 [1 per cell]
O 0.504 0.919 0.554 [1 per cell]
O 0.567 0.365 0.755 [1 per cell]
O 0.635 0.854 0.845 [1 per cell]
O 0.653 0.427 0.402 [1 per cell]
O 0.694 0.089 0.235 [1 per cell]
O 0.739 0.742 0.339 [1 per cell]
O 0.788 0.958 0.962 [1 per cell]
O 0.821 0.609 0.056 [1 per cell]
O 0.847 0.279 0.896 [1 per cell]
O 0.853 0.875 0.468 [1 per cell]
O 0.934 0.346 0.541 [1 per cell]
O 0.996 0.260 0.226 [1 per cell]
O 0.997 0.782 0.743 [1 per cell]

The 10 most intense peaks (2θ from 10° to 80°), sorted by position:
| 2theta | intensity | (hkl) |
| --- | --- | --- |
| 20.05 | 100 | 0 1 -1 |
| 23.81 | 37 | 0 2 1 |
| 23.94 | 38 | 1 0 2 |
| 24.12 | 37 | 2 1 0 |
| 32.92 | 36 | 1 3 2 |
| 33.13 | 33 | 2 1 3 |
| 33.38 | 31 | 3 2 1 |
| 35.10 | 62 | -2 1 1 |
| 54.81 | 19 | 1 -3 2 |
| 54.90 | 16 | -3 2 1 |

No. 2
The following is a calculated XRD peak list of Li2MnFe3O8. It was derived from a cell relaxed with PBE+U, using Cu Kα.

Structure:
Cell lengths 5.7856, 5.7856, 14.2831 Å; angles 90.00, 90.00, 120.00 degrees
Space group R-3m (No. 166, hexagonal axes)
Asymmetric unit:
Li 0.0000 0.0000 0.1266 [6 per cell]
Mn 0.0000 0.0000 0.5000 [3 per cell]
Fe 0.0000 0.5000 0.0000 [9 per cell]
O 0.0000 0.0000 0.2639 [6 per cell]
O 0.0358 0.5179 0.2552 [18 per cell]

The 10 most intense peaks (2θ from 10° to 80°), sorted by position:
| 2theta | intensity | (hkl) |
| --- | --- | --- |
| 18.64 | 38 | 0 0 3 |
| 18.77 | 100 | 1 0 1 |
| 36.20 | 15 | 0 1 5 |
| 36.36 | 48 | 0 2 1 |
| 38.07 | 12 | 2 0 2 |
| 44.16 | 73 | 0 2 4 |
| 58.51 | 20 | 0 3 3 |
| 64.04 | 22 | 2 0 8 |
| 64.42 | 21 | 2 2 0 |
| 67.73 | 10 | 2 2 3 |

No. 3
The following is a calculated XRD peak list of Li2MnFe3O8. It was derived from a cell relaxed with PBE+U, using Cu Kα.

Structure:
Cell lengths 10.270, 5.857, 6.002 Å; angles 90.00, 125.05, 90.00 degrees
Space group C2/m (No. 12)
Asymmetric unit:
Li 0.250 0.250 0.000 [4 per cell]
Mn 0.000 0.000 0.500 [2 per cell]
Fe 0.000 0.500 0.500 [2 per cell]
Fe 0.250 0.250 0.500 [4 per cell]
O 0.005 0.252 0.293 [8 per cell]
O 0.229 0.000 0.713 [4 per cell]
O 0.230 0.500 0.712 [4 per cell]

The 10 most intense peaks (2θ from 10° to 80°), sorted by position:
| 2theta | intensity | (hkl) |
| --- | --- | --- |
| 18.05 | 100 | 0 0 1 |
| 35.52 | 12 | 4 0 -1 |
| 35.81 | 23 | 2 2 -1 |
| 37.43 | 6 | 2 2 0 |
| 43.03 | 19 | 4 0 0 |
| 43.16 | 38 | 2 2 -2 |
| 47.25 | 7 | 2 2 1 |
| 56.67 | 15 | 2 2 -3 |
| 62.29 | 10 | 2 2 2 |
| 62.89 | 10 | 6 2 -2 |

No. 4
The following is a calculated XRD peak list of Li2MnFe3O8. It was derived from a cell relaxed with PBE+U, using Cu Kα.

Structure:
Cell lengths 5.9078, 5.9078, 9.5516 Å; angles 90.00, 90.00, 120.00 degrees
Space group P6_3mc (No. 186)
Asymmetric unit:
Li 0.0000 0.0000 0.0000 [2 per cell]
Li 0.3333 0.6667 0.4026 [2 per cell]
Mn 0.3333 0.6667 0.9882 [2 per cell]
Fe 0.1693 0.3387 0.7179 [6 per cell]
O 0.0000 0.0000 0.3125 [2 per cell]
O 0.0417 0.5209 0.8527 [6 per cell]
O 0.1689 0.3378 0.1036 [6 per cell]
O 0.3333 0.6667 0.6098 [2 per cell]

The 10 most intense peaks (2θ from 10° to 80°), sorted by position:
| 2theta | intensity | (hkl) |
| --- | --- | --- |
| 18.58 | 57 | 0 0 2 |
| 19.68 | 100 | 1 0 1 |
| 25.51 | 33 | 1 0 2 |
| 33.14 | 31 | 1 0 3 |
| 35.74 | 50 | 1 1 2 |
| 36.36 | 52 | 2 0 1 |
| 39.98 | 39 | 2 0 2 |
| 45.48 | 64 | 2 0 3 |
| 60.48 | 43 | 2 0 5 |
| 62.93 | 40 | 2 2 0 |

Copy entry 2 word for word.
The following is a calculated XRD peak list of Li2MnFe3O8. It was derived from a cell relaxed with PBE+U, using Cu Kα.

Structure:
Cell lengths 5.7856, 5.7856, 14.2831 Å; angles 90.00, 90.00, 120.00 degrees
Space group R-3m (No. 166, hexagonal axes)
Asymmetric unit:
Li 0.0000 0.0000 0.1266 [6 per cell]
Mn 0.0000 0.0000 0.5000 [3 per cell]
Fe 0.0000 0.5000 0.0000 [9 per cell]
O 0.0000 0.0000 0.2639 [6 per cell]
O 0.0358 0.5179 0.2552 [18 per cell]

The 10 most intense peaks (2θ from 10° to 80°), sorted by position:
| 2theta | intensity | (hkl) |
| --- | --- | --- |
| 18.64 | 38 | 0 0 3 |
| 18.77 | 100 | 1 0 1 |
| 36.20 | 15 | 0 1 5 |
| 36.36 | 48 | 0 2 1 |
| 38.07 | 12 | 2 0 2 |
| 44.16 | 73 | 0 2 4 |
| 58.51 | 20 | 0 3 3 |
| 64.04 | 22 | 2 0 8 |
| 64.42 | 21 | 2 2 0 |
| 67.73 | 10 | 2 2 3 |

What is the formula in the fourth record?
Li2MnFe3O8

Please write out number 1 again, unchanged.
The following is a calculated XRD peak list of Li4Mn2FeNi3P6O24. It was derived from a cell relaxed with PBE+U, using Cu Kα.

Structure:
Cell lengths 8.458, 8.557, 8.568 Å; angles 62.36, 62.68, 62.68 degrees
Space group P1 (No. 1)
Asymmetric unit:
Li 0.000 0.000 0.000 [1 per cell]
Li 0.098 0.500 0.877 [1 per cell]
Li 0.476 0.704 0.296 [1 per cell]
Li 0.895 0.079 0.499 [1 per cell]
Mn 0.259 0.855 0.644 [1 per cell]
Mn 0.734 0.357 0.146 [1 per cell]
Fe 0.896 0.502 0.302 [1 per cell]
Ni 0.102 0.703 0.500 [1 per cell]
Ni 0.392 0.000 0.794 [1 per cell]
Ni 0.604 0.207 0.000 [1 per cell]
P 0.195 0.104 0.191 [1 per cell]
P 0.300 0.603 0.100 [1 per cell]
P 0.500 0.398 0.603 [1 per cell]
P 0.698 0.904 0.401 [1 per cell]
P 0.800 0.810 0.902 [1 per cell]
P 0.999 0.305 0.701 [1 per cell]
O 0.064 0.458 0.674 [1 per cell]
O 0.137 0.536 0.147 [1 per cell]
O 0.150 0.108 0.717 [1 per cell]
O 0.180 0.947 0.389 [1 per cell]
O 0.204 0.046 0.043 [1 per cell]
O 0.278 0.663 0.255 [1 per cell]
O 0.292 0.768 0.915 [1 per cell]
O 0.345 0.597 0.580 [1 per cell]
O 0.358 0.163 0.143 [1 per cell]
O 0.437 0.244 0.634 [1 per cell]
O 0.492 0.449 0.074 [1 per cell]
O 0.504 0.919 0.554 [1 per cell]
O 0.567 0.365 0.755 [1 per cell]
O 0.635 0.854 0.845 [1 per cell]
O 0.653 0.427 0.402 [1 per cell]
O 0.694 0.089 0.235 [1 per cell]
O 0.739 0.742 0.339 [1 per cell]
O 0.788 0.958 0.962 [1 per cell]
O 0.821 0.609 0.056 [1 per cell]
O 0.847 0.279 0.896 [1 per cell]
O 0.853 0.875 0.468 [1 per cell]
O 0.934 0.346 0.541 [1 per cell]
O 0.996 0.260 0.226 [1 per cell]
O 0.997 0.782 0.743 [1 per cell]

The 10 most intense peaks (2θ from 10° to 80°), sorted by position:
| 2theta | intensity | (hkl) |
| --- | --- | --- |
| 20.05 | 100 | 0 1 -1 |
| 23.81 | 37 | 0 2 1 |
| 23.94 | 38 | 1 0 2 |
| 24.12 | 37 | 2 1 0 |
| 32.92 | 36 | 1 3 2 |
| 33.13 | 33 | 2 1 3 |
| 33.38 | 31 | 3 2 1 |
| 35.10 | 62 | -2 1 1 |
| 54.81 | 19 | 1 -3 2 |
| 54.90 | 16 | -3 2 1 |